No. 1
Starting from a DFT-relaxed cell (GGA-PBE, Alexandria), the X-ray powder pattern of LaPa2RuC4 was calculated for CuKα.

The 10 most intense peaks (10 to 90 degrees two-theta), by angle:
2theta  I_rel
26.39  57
29.07  29
29.59  100
29.94  48
33.88  27
36.59  70
39.67  26
50.39  43
50.97  37
59.74  27

```
data_LaPa2RuC4
_chemical_formula_sum 'La4 Pa8 Ru4 C16'
_cell_length_a 3.6228
_cell_length_b 11.9382
_cell_length_c 12.2855
_cell_angle_alpha 90.00
_cell_angle_beta 90.00
_cell_angle_gamma 90.00
_symmetry_space_group_name_H-M 'C m c m'
_symmetry_Int_Tables_number 63
_symmetry_space_group_name_Hall '-C 2c 2'
loop_
_atom_site_label
_atom_site_type_symbol
_atom_site_fract_x
_atom_site_fract_y
_atom_site_fract_z
La1 La 0.0000 0.0927 0.2500
Pa1 Pa 0.0000 0.3674 0.0464
Ru1 Ru 0.0000 0.1664 0.7500
C1 C 0.0000 0.0000 0.0000
C2 C 0.0000 0.2542 0.6149
C3 C 0.0000 0.4182 0.2500
```

***

No. 2
Starting from a DFT-relaxed cell (GGA-PBE, Alexandria), the X-ray powder pattern of KIn4Au6 was calculated for CuKα.

The 10 most intense peaks (10 to 90 degrees two-theta), by angle:
2theta  I_rel
12.87  30
22.38  14
32.47  22
34.49  25
39.06  24
39.80  100
53.08  15
61.80  18
71.26  19
75.57  19

```
data_KIn4Au6
_chemical_formula_sum 'K1 In4 Au6'
_cell_length_a 7.9443
_cell_length_b 7.9443
_cell_length_c 4.6120
_cell_angle_alpha 90.00
_cell_angle_beta 90.00
_cell_angle_gamma 120.00
_symmetry_space_group_name_H-M 'P -6'
_symmetry_Int_Tables_number 174
loop_
_symmetry_equiv_pos_as_xyz
'x,y,z'
'-x+y,-x,-z'
'-y,x-y,z'
'x,y,-z'
'-x+y,-x,z'
'-y,x-y,-z'
loop_
_atom_site_label
_atom_site_type_symbol
_atom_site_fract_x
_atom_site_fract_y
_atom_site_fract_z
K1 K 0.0000 0.0000 0.0000
In1 In 0.1169 0.7254 0.5000
In2 In 0.6667 0.3333 0.0000
Au1 Au 0.0988 0.4844 0.0000
Au2 Au 0.4121 0.1328 0.5000
```